For Na2Ca2Si3O9, a structure optimized by DFT (PBE) gives the computed XRD peak list in this record (Cu Kα (weighted mean of Kα1 and Kα2)).

Structural model:
Lattice parameters (Å, degrees): 10.6266 10.6266 13.4294 90.00 90.00 120.00
Space group R3m (No. 160, hexagonal axes)
Asymmetric unit:
Na  0.0000  0.0000  0.0000
Na  0.0221  0.5111  0.2419
Ca  0.0000  0.0000  0.2432
Ca  0.1817  0.3634  0.0754
Si  0.0267  0.5133  0.4781
Si  0.1819  0.3638  0.3476
O  0.9999  0.2508  0.7464
O  0.0945  0.1890  0.3605
O  0.0936  0.5468  0.5888
O  0.1870  0.0935  0.1308
O  0.2147  0.4294  0.2374

Top 6 peaks for 10° ≤ 2θ ≤ 80°, by angle:
| two_theta | Rel. int. | hkl |
| --- | --- | --- |
| 16.69 | 26.3 | 1 1 0 |
| 26.03 | 26.0 | 1 1 3 |
| 26.47 | 72.4 | 2 1 1 |
| 33.03 | 89.8 | 0 2 4 |
| 33.74 | 100.0 | 2 2 0 |
| 47.93 | 70.5 | 4 0 4 |

---

For Na2Ca3Si6O16, a structure optimized by DFT (PBE) gives the computed XRD peak list in this record (Cu Kα (weighted mean of Kα1 and Kα2)).

Structural model:
Lattice parameters (Å, degrees): 7.305 10.285 10.796 78.20 70.27 80.91
Space group P-1 (No. 2)
Asymmetric unit:
Na  0.082  0.135  0.020
Na  0.177  0.419  0.675
Ca  0.155  0.125  0.380
Ca  0.351  0.866  0.612
Ca  0.419  0.850  0.985
Si  0.019  0.133  0.731
Si  0.186  0.402  0.127
Si  0.227  0.687  0.424
Si  0.254  0.601  0.861
Si  0.352  0.416  0.350
Si  0.450  0.127  0.731
O  0.051  0.561  0.849
O  0.066  0.024  0.631
O  0.074  0.722  0.336
O  0.112  0.913  0.117
O  0.147  0.751  0.558
O  0.219  0.458  0.249
O  0.222  0.182  0.737
O  0.256  0.245  0.129
O  0.258  0.758  0.859
O  0.260  0.522  0.458
O  0.294  0.501  0.990
O  0.347  0.263  0.418
O  0.420  0.549  0.729
O  0.440  0.734  0.325
O  0.445  0.067  0.883
O  0.451  0.978  0.374

Top 6 peaks for 10° ≤ 2θ ≤ 80°, by angle:
| two_theta | Rel. int. | hkl |
| --- | --- | --- |
| 18.46 | 56.5 | 0 2 1 |
| 26.69 | 100.0 | 0 3 0 |
| 27.15 | 62.4 | 0 2 -2 |
| 28.36 | 68.5 | 2 -1 0 |
| 28.79 | 60.0 | 2 2 2 |
| 29.51 | 63.9 | 0 1 -3 |